Diffraction record for ZnGaNi4H. The X-ray powder pattern is computed, not measured: it uses the PBE geometry in Alexandria and Cu Kα, 1.54184 Å.

Most intense lines, 2θ = 10–90°, in order of rising 2θ:
| 2θ/deg | d_spacing | intensity | h k l |
| --- | --- | --- | --- |
| 14.49 | 6.113 | 8 | 0 2 0 |
| 35.83 | 2.506 | 20 | 2 0 0 |
| 38.84 | 2.319 | 73 | 2 2 0 |
| 44.46 | 2.038 | 32 | 0 6 0 |
| 46.88 | 1.938 | 100 | 2 4 0 |
| 51.58 | 1.772 | 53 | 2 0 2 |
| 70.42 | 1.337 | 30 | 2 6 2 |
| 75.94 | 1.253 | 15 | 4 0 0 |
| 88.75 | 1.102 | 12 | 4 2 2 |
| 89.11 | 1.099 | 18 | 2 10 0 |

Cell lengths 5.009, 12.226, 5.015 Å; angles 90.00, 90.00, 90.00 degrees
Space group Cmcm (No. 63)
One atom of each set of equivalent atoms:
Zn 0.000 0.102 0.250 [4 per cell]
Ga 0.000 0.394 0.250 [4 per cell]
Ni 0.000 0.094 0.750 [4 per cell]
Ni 0.000 0.411 0.750 [4 per cell]
Ni 0.250 0.250 0.000 [8 per cell]
H 0.000 0.248 0.750 [4 per cell]